Theoretical powder XRD pattern
Compound: SmB3Ru2
Radiation: Cu Kα, 1.54184 Å
Structure: DFT lattice parameters and positions (PBE)
Kinematic intensities with the Lorentz-polarization factor, no thermal factor.

Peak list (8 most intense, 2θ from 10° to 90°, in order of rising 2θ)
24.09 deg, d 3.694, intensity 90; 34.29 deg, d 2.615, intensity 82; 36.17 deg, d 2.483, intensity 65; 37.23 deg, d 2.415, intensity 45; 38.07 deg, d 2.364, intensity 41; 38.59 deg, d 2.333, intensity 100; 44.40 deg, d 2.040, intensity 59; 65.75 deg, d 1.420, intensity 40

Structural model:
abc: 8.6996 6.0492 5.5279
angles: 90.00 90.00 90.00
Space group Cmcm (No. 63)
One atom of each set of equivalent atoms:
Sm  0.0000  0.1653  0.2500 (multiplicity 4)
B  0.0000  0.3587  0.7500 (multiplicity 4)
B  0.1724  0.2065  0.7500 (multiplicity 8)
Ru  0.1973  0.5000  0.0000 (multiplicity 8)

***

Theoretical powder XRD pattern
Compound: Ta2SnB2Ru5
Radiation: Cu Kα, 1.54184 Å
Structure: DFT lattice parameters and positions (PBE)
Kinematic intensities with the Lorentz-polarization factor, no thermal factor.

Peak list (8 most intense, 2θ from 10° to 90°, in order of rising 2θ)
36.48 deg, d 2.463, intensity 92; 39.14 deg, d 2.302, intensity 89; 40.14 deg, d 2.247, intensity 40; 42.43 deg, d 2.130, intensity 100; 42.60 deg, d 2.122, intensity 38; 45.69 deg, d 1.986, intensity 26; 66.74 deg, d 1.402, intensity 23; 75.17 deg, d 1.264, intensity 26

Structural model:
abc: 9.4902 9.4902 3.0247
angles: 90.00 90.00 90.00
Space group P4/mbm (No. 127)
One atom of each set of equivalent atoms:
Ta  0.1766  0.3234  0.0000 (multiplicity 4)
Sn  0.0000  0.0000  0.0000 (multiplicity 2)
B  0.1219  0.6219  0.0000 (multiplicity 4)
Ru  0.0000  0.5000  0.5000 (multiplicity 2)
Ru  0.0707  0.7788  0.5000 (multiplicity 8)

***

Theoretical powder XRD pattern
Compound: Sr2B8Ru7
Radiation: Cu Kα, 1.54184 Å
Structure: DFT lattice parameters and positions (PBE)
Kinematic intensities with the Lorentz-polarization factor, no thermal factor.

Peak list (8 most intense, 2θ from 10° to 90°, in order of rising 2θ)
28.93 deg, d 3.087, intensity 21; 30.88 deg, d 2.896, intensity 18; 32.13 deg, d 2.786, intensity 19; 35.06 deg, d 2.559, intensity 42; 35.62 deg, d 2.520, intensity 100; 47.85 deg, d 1.901, intensity 33; 63.26 deg, d 1.470, intensity 23; 75.77 deg, d 1.255, intensity 18

Structural model:
abc: 6.4746 6.4746 10.2377
angles: 90.00 90.00 90.00
Space group P4_2/m (No. 84)
One atom of each set of equivalent atoms:
Sr  0.1086  0.7327  0.0000 (multiplicity 4)
B  0.0000  0.5000  0.4117 (multiplicity 4)
B  0.1025  0.7236  0.3305 (multiplicity 8)
B  0.5000  0.5000  0.1590 (multiplicity 4)
Ru  0.0000  0.0000  0.2500 (multiplicity 2)
Ru  0.2059  0.3946  0.2562 (multiplicity 8)
Ru  0.2869  0.5942  0.5000 (multiplicity 4)

***

Theoretical powder XRD pattern
Compound: Ta3B2Ru5
Radiation: Cu Kα, 1.54184 Å
Structure: DFT lattice parameters and positions (PBE)
Kinematic intensities with the Lorentz-polarization factor, no thermal factor.

Peak list (8 most intense, 2θ from 10° to 90°, in order of rising 2θ)
36.58 deg, d 2.457, intensity 71; 39.27 deg, d 2.294, intensity 69; 40.25 deg, d 2.240, intensity 39; 42.55 deg, d 2.124, intensity 100; 42.75 deg, d 2.115, intensity 38; 45.83 deg, d 1.980, intensity 20; 66.97 deg, d 1.397, intensity 20; 75.40 deg, d 1.261, intensity 20

Structural model:
abc: 9.4588 9.4588 3.0179
angles: 90.00 90.00 90.00
Space group P4/mbm (No. 127)
One atom of each set of equivalent atoms:
Ta  0.0000  0.0000  0.0000 (multiplicity 2)
Ta  0.1761  0.3239  0.0000 (multiplicity 4)
B  0.1214  0.6214  0.0000 (multiplicity 4)
Ru  0.0000  0.5000  0.5000 (multiplicity 2)
Ru  0.0713  0.7816  0.5000 (multiplicity 8)

***

Theoretical powder XRD pattern
Compound: TaBRu
Radiation: Cu Kα, 1.54184 Å
Structure: DFT lattice parameters and positions (PBE)
Kinematic intensities with the Lorentz-polarization factor, no thermal factor.

Peak list (8 most intense, 2θ from 10° to 90°, in order of rising 2θ)
30.36 deg, d 2.944, intensity 17; 30.46 deg, d 2.935, intensity 21; 38.80 deg, d 2.321, intensity 11; 40.20 deg, d 2.243, intensity 33; 41.85 deg, d 2.158, intensity 100; 57.93 deg, d 1.592, intensity 12; 66.89 deg, d 1.399, intensity 13; 67.07 deg, d 1.396, intensity 12

Structural model:
abc: 8.9573 15.5621 3.1837
angles: 90.00 90.00 90.00
Space group Pbam (No. 55)
One atom of each set of equivalent atoms:
Ta  0.0148  0.0947  0.0000 (multiplicity 4)
Ta  0.1855  0.7039  0.0000 (multiplicity 4)
Ta  0.1986  0.4956  0.0000 (multiplicity 4)
B  0.1052  0.9964  0.5000 (multiplicity 4)
B  0.1097  0.3326  0.0000 (multiplicity 4)
B  0.2146  0.0995  0.5000 (multiplicity 4)
Ru  0.0167  0.5958  0.5000 (multiplicity 4)
Ru  0.0656  0.2345  0.5000 (multiplicity 4)
Ru  0.2203  0.8564  0.5000 (multiplicity 4)

***

Theoretical powder XRD pattern
Compound: Ta7B8Ru6
Radiation: Cu Kα, 1.54184 Å
Structure: DFT lattice parameters and positions (PBE)
Kinematic intensities with the Lorentz-polarization factor, no thermal factor.

Peak list (8 most intense, 2θ from 10° to 90°, in order of rising 2θ)
28.48 deg, d 3.134, intensity 41; 30.49 deg, d 2.931, intensity 20; 39.18 deg, d 2.299, intensity 72; 40.72 deg, d 2.216, intensity 100; 43.67 deg, d 2.073, intensity 42; 58.95 deg, d 1.567, intensity 26; 66.75 deg, d 1.401, intensity 32; 73.08 deg, d 1.295, intensity 23

Structural model:
abc: 9.5727 9.5727 3.1339
angles: 90.00 90.00 120.00
Space group P6/m (No. 175)
One atom of each set of equivalent atoms:
Ta  0.0000  0.0000  0.0000 (multiplicity 1)
Ta  0.0865  0.7248  0.0000 (multiplicity 6)
B  0.0649  0.2183  0.5000 (multiplicity 6)
B  0.3333  0.6667  0.0000 (multiplicity 2)
Ru  0.1538  0.5137  0.5000 (multiplicity 6)